No. 1
For NiBC, DFT lattice parameters and positions (PBE) gives the computed powder diffraction line list in this record (copper Kα).

Crystal structure
Cell: 2.7821 2.7821 4.1510 Å, 115.13 115.13 57.67°
Atoms (fractional coordinates):
1 Ni 0.0000 0.0000 0.0000
2 B 0.4152 0.4152 0.5074
3 C 0.7175 0.7175 0.4623

Main lines, low angle first (2θ from 15° to 90°):
2θ/deg, I_rel
24.5, 78
37.1, 68
39.7, 70
41.1, 100
42.4, 32
47.5, 22
50.3, 34
52.8, 51
56.1, 28
70.6, 17

***

No. 2
For NiBPC, DFT lattice parameters and positions (PBE) gives the computed powder diffraction line list in this record (copper Kα).

Crystal structure
Cell: 3.4473 3.4473 5.0426 Å, 101.43 101.43 47.13°
Atoms (fractional coordinates):
1 Ni 0.0000 0.0000 0.0000
2 B 0.7362 0.7362 0.6361
3 P 0.7357 0.7357 0.2443
4 C 0.2201 0.2201 0.7540

Main lines, low angle first (2θ from 15° to 90°):
2θ/deg, I_rel
18.0, 100
30.7, 36
35.7, 45
37.6, 20
41.7, 92
52.3, 16
54.4, 16
55.6, 22
55.8, 14
65.1, 17

***

No. 3
For Tb3Ni2B2C3, DFT lattice parameters and positions (PBE) gives the computed powder diffraction line list in this record (copper Kα).

Crystal structure
Cell: 10.5148 10.5148 10.5148 Å, 160.27 160.27 28.04°
Atoms (fractional coordinates):
1 Tb 0.0000 0.0000 0.0000
2 Tb 0.3763 0.3763 0.0000
3 Tb 0.6237 0.6237 0.0000
4 Ni 0.2500 0.7500 0.5000
5 Ni 0.7500 0.2500 0.5000
6 B 0.1972 0.1972 0.0000
7 B 0.8028 0.8028 0.0000
8 C 0.1242 0.1242 0.0000
9 C 0.5000 0.5000 0.0000
10 C 0.8758 0.8758 0.0000

Main lines, low angle first (2θ from 15° to 90°):
2θ/deg, I_rel
28.0, 100
33.2, 84
35.2, 86
36.4, 39
39.5, 31
44.4, 22
50.7, 60
58.9, 27
61.9, 29
63.2, 34

***

Question: Number 2 is which compound?
Answer: NiBPC